# Mn3Cr2H4
Calculated X-ray diffraction stick pattern, Cu Kα, 1.54184 Å. Input: a DFT-relaxed cell (GGA-PBE, Alexandria).
No peak broadening, texture or thermal motion is included.

Structure:
a b c (Å): 2.6163 2.6163 10.5775
angles (deg): 90.00 90.00 120.00
Space group P-3m1 (No. 164)
Asymmetric unit:
Mn1 0.0000 0.0000 0.0000
Mn2 0.3333 0.6667 0.5889
Cr1 0.3333 0.6667 0.2037
H1 0.0000 0.0000 0.3101
H2 0.3333 0.6667 0.9010

Peak list (12 most intense, 2θ from 10° to 90°, low angle first)
two_theta	I/Imax	h k l
39.78	7.2	1 0 0
40.73	42.7	0 1 1
42.74	48.6	0 0 5
43.45	96.3	0 1 2
47.71	100.0	1 0 3
53.24	10.5	1 0 4
67.29	14.9	0 1 6
72.22	29.1	1 1 0
75.65	10.6	0 1 7
84.92	17.4	1 0 8
87.72	30.9	1 1 5
88.20	10.6	2 0 2